This entry pairs a crystal structure of Na4U3MoN8 with its calculated powder diffractogram. Radiation: Cu Kα X-rays. Structure: the PBE geometry in Alexandria.

The 10 most intense peaks (2θ from 5° to 70°), in order of falling intensity:
(hkl)	two_theta	I/Imax
0 0 3	15.58	100.0
0 2 4	37.13	65.0
2 0 2	32.19	59.9
0 2 1	30.85	49.8
0 0 6	31.46	22.8
2 2 0	54.00	22.1
2 2 3	56.56	21.8
2 0 8	53.04	21.2
2 0 5	40.49	21.0
2 2 6	63.84	19.6

Crystal structure
```
data_Na4U3MoN8
_symmetry_space_group_name_H-M 'R -3 m'
_symmetry_Int_Tables_number 166
_symmetry_space_group_name_Hall '-R 3 2"'
_cell_length_a 6.7928
_cell_length_b 6.7928
_cell_length_c 17.0603
_cell_angle_alpha 90.00
_cell_angle_beta 90.00
_cell_angle_gamma 120.00
loop_
_atom_site_label
_atom_site_fract_x
_atom_site_fract_y
_atom_site_fract_z
_atom_site_occupancy
Na1 0.0000 0.0000 0.0000 1
Na2 0.0000 0.5000 0.0000 1
U1 0.0000 0.5000 0.5000 1
Mo1 0.0000 0.0000 0.5000 1
N1 0.0000 0.0000 0.2296 1
N2 0.0051 0.5026 0.7715 1
```

=====

This entry pairs a crystal structure of NaMoW2N with its calculated powder diffractogram. Radiation: Cu Kα X-rays. Structure: the PBE geometry in Alexandria.

The 10 most intense peaks (2θ from 5° to 70°), in order of falling intensity:
(hkl)	two_theta	I/Imax
1 1 1	36.62	100.0
2 0 0	38.37	54.1
3 1 1	68.24	32.4
1 1 0	26.87	27.5
0 0 1	24.41	26.0
2 0 2	64.76	22.9
2 0 1	46.00	20.3
2 2 0	55.38	18.4
0 0 2	50.03	12.5
1 0 1	31.06	9.2

Crystal structure
```
data_NaMoW2N
_symmetry_space_group_name_H-M 'P 4/m m m'
_symmetry_Int_Tables_number 123
_symmetry_space_group_name_Hall '-P 4 2'
_cell_length_a 4.692
_cell_length_b 4.692
_cell_length_c 3.646
_cell_angle_alpha 90.00
_cell_angle_beta 90.00
_cell_angle_gamma 90.00
loop_
_atom_site_label
_atom_site_fract_x
_atom_site_fract_y
_atom_site_fract_z
_atom_site_occupancy
Na1 0.000 0.000 0.000 1
Mo1 0.500 0.500 0.500 1
W1 0.000 0.500 0.000 1
N1 0.000 0.000 0.500 1
```

=====

This entry pairs a crystal structure of NdMoN3 with its calculated powder diffractogram. Radiation: Cu Kα X-rays. Structure: the PBE geometry in Alexandria.

The 10 most intense peaks (2θ from 5° to 70°), in order of falling intensity:
(hkl)	two_theta	I/Imax
2 2 -1	25.91	100.0
0 0 2	29.88	49.6
2 2 1	32.05	48.8
1 3 -1	30.87	23.3
2 2 -3	46.72	22.4
3 1 0	27.34	21.6
4 0 -2	37.43	19.7
1 3 1	33.63	18.5
5 3 -1	49.82	16.9
4 0 0	34.59	14.9

Crystal structure
```
data_NdMoN3
_symmetry_space_group_name_H-M 'C 1 2/c 1'
_symmetry_Int_Tables_number 15
_symmetry_space_group_name_Hall '-C 2yc'
_cell_length_a 11.023
_cell_length_b 9.847
_cell_length_c 6.357
_cell_angle_alpha 90.00
_cell_angle_beta 109.78
_cell_angle_gamma 90.00
loop_
_atom_site_label
_atom_site_fract_x
_atom_site_fract_y
_atom_site_fract_z
_atom_site_occupancy
Nd1 0.000 0.090 0.250 1
Nd2 0.000 0.310 0.750 1
Mo1 0.210 0.410 0.242 1
N1 0.113 0.113 0.654 1
N2 0.134 0.251 0.149 1
N3 0.147 0.488 0.472 1
```

=====

This entry pairs a crystal structure of Nd2SmMoN4 with its calculated powder diffractogram. Radiation: Cu Kα X-rays. Structure: the PBE geometry in Alexandria.

The 10 most intense peaks (2θ from 5° to 70°), in order of falling intensity:
(hkl)	two_theta	I/Imax
1 1 2	30.37	100.0
1 3 2	37.16	92.6
0 4 0	29.73	56.6
0 0 4	29.26	48.0
0 2 3	26.45	38.5
0 4 4	42.20	31.1
1 3 1	34.83	21.6
1 5 2	48.29	21.2
1 1 5	45.95	19.0
2 0 0	52.30	18.4

Crystal structure
```
data_Nd2SmMoN4
_symmetry_space_group_name_H-M 'C m c m'
_symmetry_Int_Tables_number 63
_symmetry_space_group_name_Hall '-C 2c 2'
_cell_length_a 3.498
_cell_length_b 12.020
_cell_length_c 12.210
_cell_angle_alpha 90.00
_cell_angle_beta 90.00
_cell_angle_gamma 90.00
loop_
_atom_site_label
_atom_site_fract_x
_atom_site_fract_y
_atom_site_fract_z
_atom_site_occupancy
Nd1 0.000 0.132 0.038 1
Sm1 0.000 0.387 0.250 1
Mo1 0.000 0.347 0.750 1
N1 0.000 0.061 0.250 1
N2 0.000 0.232 0.636 1
N3 0.000 0.500 0.000 1
```

=====

This entry pairs a crystal structure of Ni2MoN with its calculated powder diffractogram. Radiation: Cu Kα X-rays. Structure: the PBE geometry in Alexandria.

The 10 most intense peaks (2θ from 5° to 70°), in order of falling intensity:
(hkl)	two_theta	I/Imax
2 1 1	37.60	100.0
1 1 2	47.01	45.9
2 2 0	39.45	40.1
3 0 1	47.28	29.4
3 1 2	62.99	20.7
4 2 0	64.50	13.4
3 1 0	44.34	11.4
3 2 1	55.63	8.5
4 0 0	57.02	8.3
1 0 3	67.42	6.2

Crystal structure
```
data_Ni2MoN
_symmetry_space_group_name_H-M 'I -4 2 d'
_symmetry_Int_Tables_number 122
_symmetry_space_group_name_Hall 'I -4 2bw'
_cell_length_a 6.461
_cell_length_b 6.461
_cell_length_c 4.267
_cell_angle_alpha 90.00
_cell_angle_beta 90.00
_cell_angle_gamma 90.00
loop_
_atom_site_label
_atom_site_fract_x
_atom_site_fract_y
_atom_site_fract_z
_atom_site_occupancy
Ni1 0.153 0.750 0.125 1
Mo1 0.000 0.000 0.500 1
N1 0.000 0.000 0.000 1
```

=====

This entry pairs a crystal structure of NiMoN with its calculated powder diffractogram. Radiation: Cu Kα X-rays. Structure: the PBE geometry in Alexandria.

The 10 most intense peaks (2θ from 5° to 70°), in order of falling intensity:
(hkl)	two_theta	I/Imax
1 0 3	36.06	100.0
1 0 5	41.93	84.3
1 1 2	47.69	66.0
0 0 8	42.08	30.4
1 1 6	57.03	27.1
2 0 0	67.76	23.0
1 0 1	32.80	18.4
0 0 6	31.24	17.7
1 0 11	69.07	17.5
1 0 7	49.66	15.5

Crystal structure
```
data_NiMoN
_symmetry_space_group_name_H-M 'I -4 m 2'
_symmetry_Int_Tables_number 119
_symmetry_space_group_name_Hall 'I -4 -2'
_cell_length_a 2.766
_cell_length_b 2.766
_cell_length_c 17.179
_cell_angle_alpha 90.00
_cell_angle_beta 90.00
_cell_angle_gamma 90.00
loop_
_atom_site_label
_atom_site_fract_x
_atom_site_fract_y
_atom_site_fract_z
_atom_site_occupancy
Ni1 0.000 0.000 0.201 1
Mo1 0.000 0.500 0.067 1
N1 0.000 0.500 0.616 1
```

=====

This entry pairs a crystal structure of Np3MoN7 with its calculated powder diffractogram. Radiation: Cu Kα X-rays. Structure: the PBE geometry in Alexandria.

The 10 most intense peaks (2θ from 5° to 70°), in order of falling intensity:
(hkl)	two_theta	I/Imax
2 2 0	29.60	100.0
0 2 2	29.89	99.1
2 0 2	34.43	53.6
2 4 2	49.60	52.2
2 2 4	59.07	41.2
0 4 0	34.58	24.9
4 2 2	58.56	24.9
0 0 4	49.86	15.0
1 1 0	14.68	13.1
4 0 0	49.11	13.0

Crystal structure
```
data_Np3MoN7
_symmetry_space_group_name_H-M 'C 2 2 21'
_symmetry_Int_Tables_number 20
_symmetry_space_group_name_Hall 'C 2c 2'
_cell_length_a 7.421
_cell_length_b 10.374
_cell_length_c 7.316
_cell_angle_alpha 90.00
_cell_angle_beta 90.00
_cell_angle_gamma 90.00
loop_
_atom_site_label
_atom_site_fract_x
_atom_site_fract_y
_atom_site_fract_z
_atom_site_occupancy
Np1 0.012 0.000 0.000 1
Np2 0.232 0.268 0.755 1
Mo1 0.030 0.500 0.000 1
N1 0.000 0.128 0.250 1
N2 0.000 0.143 0.750 1
N3 0.000 0.425 0.750 1
N4 0.210 0.374 0.040 1
N5 0.227 0.370 0.481 1
```

=====

This entry pairs a crystal structure of Np3Pa2MoN6 with its calculated powder diffractogram. Radiation: Cu Kα X-rays. Structure: the PBE geometry in Alexandria.

The 10 most intense peaks (2θ from 5° to 70°), in order of falling intensity:
(hkl)	two_theta	I/Imax
1 3 1	37.39	100.0
1 3 -1	32.20	77.1
2 0 0	32.21	38.0
0 0 2	32.32	37.7
0 6 0	53.83	35.0
2 0 2	53.99	34.7
3 3 1	64.24	28.7
2 6 0	64.14	28.6
4 0 0	67.37	17.8
1 3 3	64.36	11.3

Crystal structure
```
data_Np3Pa2MoN6
_symmetry_space_group_name_H-M 'C 1 2/m 1'
_symmetry_Int_Tables_number 12
_symmetry_space_group_name_Hall '-C 2y'
_cell_length_a 5.900
_cell_length_b 10.217
_cell_length_c 5.881
_cell_angle_alpha 90.00
_cell_angle_beta 109.62
_cell_angle_gamma 90.00
loop_
_atom_site_label
_atom_site_fract_x
_atom_site_fract_y
_atom_site_fract_z
_atom_site_occupancy
Np1 0.000 0.000 0.000 1
Np2 0.000 0.334 0.000 1
Pa1 0.000 0.167 0.500 1
Mo1 0.000 0.500 0.500 1
N1 0.238 0.500 0.259 1
N2 0.239 0.340 0.738 1
```